Theoretical PXRD pattern
Compound: Ca4Mg3FeSi8O24
Radiation: λ = 1.5418 Å (Cu Kα)
Structure: a structure optimized by DFT (PBE+U)
Neutral-atom scattering factors, no anomalous dispersion.

Largest 10 diffraction maxima, in order of falling intensity, 10 to 90 degrees two-theta:
- 29.35 deg, rel. 100
- 29.43 deg, rel. 99
- 35.05 deg, rel. 82
- 29.83 deg, rel. 61
- 30.37 deg, rel. 54
- 34.44 deg, rel. 53
- 55.75 deg, rel. 52
- 27.18 deg, rel. 43
- 35.16 deg, rel. 40
- 35.23 deg, rel. 40

Crystal structure
a b c (Å): 5.3295 6.7023 13.4112
angles (deg): 90.49 101.06 101.80
Fractional coordinates of all 40 atoms:
Ca: 0.0000 0.0000 0.0000
Ca: 0.2004 0.4006 0.7029
Ca: 0.4949 0.9953 0.5003
Ca: 0.7012 0.3975 0.2003
Mg: 0.3050 0.6060 0.3042
Mg: 0.3967 0.7924 0.8979
Mg: 0.8040 0.6070 0.8059
Fe: 0.8962 0.7913 0.3974
Si: 0.0578 0.5069 0.0409
Si: 0.1434 0.8937 0.6641
Si: 0.2388 0.0784 0.2530
Si: 0.4650 0.3206 0.9479
Si: 0.5551 0.5046 0.5422
Si: 0.6438 0.8909 0.1598
Si: 0.7355 0.0796 0.7556
Si: 0.9641 0.3202 0.4489
O: 0.0598 0.6724 0.9535
O: 0.0843 0.5846 0.1567
O: 0.1183 0.8120 0.5491
O: 0.1416 0.7281 0.7515
O: 0.2397 0.9038 0.3357
O: 0.2647 0.3320 0.5195
O: 0.2833 0.3663 0.0338
O: 0.3374 0.0885 0.9084
O: 0.3638 0.3107 0.2925
O: 0.4206 0.0336 0.1670
O: 0.4328 0.0670 0.6864
O: 0.4716 0.4963 0.8655
O: 0.5486 0.6681 0.4540
O: 0.5857 0.5830 0.6582
O: 0.6166 0.8144 0.0439
O: 0.6371 0.7218 0.2455
O: 0.7290 0.9030 0.8376
O: 0.7674 0.3340 0.0178
O: 0.7809 0.3655 0.5339
O: 0.8364 0.0879 0.4096
O: 0.8645 0.3114 0.7954
O: 0.9168 0.0336 0.6696
O: 0.9350 0.0622 0.1839
O: 0.9708 0.4919 0.3643